The following is a computed X-ray powder pattern of CsTb2Au2O6. It was derived from DFT lattice parameters and positions (GGA-PBE), using Cu Ka.

Main lines, by angle (10° ≤ 2θ ≤ 90°):
17.3°, 5.141 Å, I = 93, hkl 1 -1 0; 17.4°, 5.090 Å, I = 64, hkl 1 0 0; 18.2°, 4.882 Å, I = 46, hkl 0 1 -1; 28.3°, 3.155 Å, I = 38, hkl 1 1 0; 28.6°, 3.119 Å, I = 69, hkl -2 1 1; 29.4°, 3.039 Å, I = 76, hkl 1 0 1; 30.3°, 2.947 Å, I = 89, hkl 1 1 -2; 31.3°, 2.860 Å, I = 81, hkl 0 2 0; 31.6°, 2.828 Å, I = 100, hkl 1 -2 1; 33.3°, 2.691 Å, I = 97, hkl -1 1 2; 34.6°, 2.592 Å, I = 28, hkl -2 1 2; 46.4°, 1.956 Å, I = 38, hkl 0 1 -3

Structural model:
```
data_CsTb2Au2O6
_chemical_formula_sum 'Cs1 Tb2 Au2 O6'
_symmetry_space_group_name_H-M 'P -1'
_symmetry_Int_Tables_number 2
_symmetry_space_group_name_Hall '-P 1'
_cell_length_a 6.3486
_cell_length_b 6.4858
_cell_length_c 6.5134
_cell_angle_alpha 97.67
_cell_angle_beta 115.74
_cell_angle_gamma 110.42
loop_
_atom_site_label
_atom_site_fract_x
_atom_site_fract_y
_atom_site_fract_z
Cs1 0.0000 0.0000 0.0000
Tb1 0.3434 0.0228 0.6852
Au1 0.0503 0.4651 0.8077
O1 0.1069 0.2300 0.5994
O2 0.3017 0.8173 0.3445
O3 0.3597 0.7726 0.9060
```


The following is a computed X-ray powder pattern of Cs2TmAuO4. It was derived from DFT lattice parameters and positions (GGA-PBE), using Cu Ka.

Main lines, by angle (10° ≤ 2θ ≤ 90°):
14.4°, 6.169 Å, I = 49, hkl 0 2 2; 15.1°, 5.856 Å, I = 89, hkl 0 0 4; 19.4°, 4.577 Å, I = 43, hkl 1 1 3; 24.5°, 3.629 Å, I = 53, hkl 0 4 0; 25.9°, 3.438 Å, I = 100, hkl 0 2 6; 26.1°, 3.416 Å, I = 23, hkl 1 3 3; 31.7°, 2.825 Å, I = 63, hkl 2 2 0; 35.3°, 2.544 Å, I = 28, hkl 2 2 4; 37.3°, 2.412 Å, I = 28, hkl 2 0 6; 40.5°, 2.229 Å, I = 25, hkl 0 2 10; 45.1°, 2.009 Å, I = 49, hkl 2 4 6; 47.9°, 1.899 Å, I = 25, hkl 2 6 0

Structural model:
```
data_Cs2TmAuO4
_chemical_formula_sum 'Cs16 Tm8 Au8 O32'
_symmetry_space_group_name_H-M 'F d d d'
_symmetry_Int_Tables_number 70
_cell_length_a 6.1339
_cell_length_b 14.5151
_cell_length_c 23.4260
_cell_angle_alpha 90.00
_cell_angle_beta 90.00
_cell_angle_gamma 90.00
loop_
_symmetry_equiv_pos_as_xyz
'x,y,z'
'-x,-y,-z'
'-x+1/4,-y+1/4,z'
'x+1/4,y+1/4,-z'
'x,-y+1/4,-z+1/4'
'-x,y+1/4,z+1/4'
'-x+1/4,y,-z+1/4'
'x+1/4,-y,z+1/4'
'x,y+1/2,z+1/2'
'-x,-y+1/2,-z+1/2'
'-x+1/4,-y+3/4,z+1/2'
'x+1/4,y+3/4,-z+1/2'
'x,-y+3/4,-z+3/4'
'-x,y+3/4,z+3/4'
'-x+1/4,y+1/2,-z+3/4'
'x+1/4,-y+1/2,z+3/4'
'x+1/2,y,z+1/2'
'-x+1/2,-y,-z+1/2'
'-x+3/4,-y+1/4,z+1/2'
'x+3/4,y+1/4,-z+1/2'
'x+1/2,-y+1/4,-z+3/4'
'-x+1/2,y+1/4,z+3/4'
'-x+3/4,y,-z+3/4'
'x+3/4,-y,z+3/4'
'x+1/2,y+1/2,z'
'-x+1/2,-y+1/2,-z'
'-x+3/4,-y+3/4,z'
'x+3/4,y+3/4,-z'
'x+1/2,-y+3/4,-z+1/4'
'-x+1/2,y+3/4,z+1/4'
'-x+3/4,y+1/2,-z+1/4'
'x+3/4,-y+1/2,z+1/4'
loop_
_atom_site_label
_atom_site_fract_x
_atom_site_fract_y
_atom_site_fract_z
Cs1 0.1250 0.1250 0.3098
Tm1 0.1250 0.1250 0.1250
Au1 0.1250 0.1250 0.6250
O1 0.1160 0.2768 0.8685
```


The following is a computed X-ray powder pattern of Cs2ZrAuO4. It was derived from DFT lattice parameters and positions (GGA-PBE), using Cu Ka.

Main lines, by angle (10° ≤ 2θ ≤ 90°):
15.5°, 5.717 Å, I = 31, hkl 0 2 2; 15.9°, 5.586 Å, I = 56, hkl 0 0 4; 20.7°, 4.293 Å, I = 75, hkl 1 1 3; 26.8°, 3.328 Å, I = 51, hkl 0 4 0; 27.4°, 3.250 Å, I = 100, hkl 0 2 6; 28.1°, 3.172 Å, I = 59, hkl 1 3 3; 34.1°, 2.627 Å, I = 60, hkl 2 2 0; 39.7°, 2.268 Å, I = 38, hkl 2 0 6; 47.7°, 1.906 Å, I = 22, hkl 0 6 6; 48.6°, 1.874 Å, I = 41, hkl 2 4 6; 52.2°, 1.753 Å, I = 30, hkl 2 6 0; 61.0°, 1.519 Å, I = 19, hkl 2 2 12

Structural model:
```
data_Cs2ZrAuO4
_chemical_formula_sum 'Cs16 Zr8 Au8 O32'
_symmetry_space_group_name_H-M 'F d d d'
_symmetry_Int_Tables_number 70
_cell_length_a 5.7178
_cell_length_b 13.3102
_cell_length_c 22.3434
_cell_angle_alpha 90.00
_cell_angle_beta 90.00
_cell_angle_gamma 90.00
loop_
_symmetry_equiv_pos_as_xyz
'x,y,z'
'-x,-y,-z'
'-x+1/4,-y+1/4,z'
'x+1/4,y+1/4,-z'
'x,-y+1/4,-z+1/4'
'-x,y+1/4,z+1/4'
'-x+1/4,y,-z+1/4'
'x+1/4,-y,z+1/4'
'x,y+1/2,z+1/2'
'-x,-y+1/2,-z+1/2'
'-x+1/4,-y+3/4,z+1/2'
'x+1/4,y+3/4,-z+1/2'
'x,-y+3/4,-z+3/4'
'-x,y+3/4,z+3/4'
'-x+1/4,y+1/2,-z+3/4'
'x+1/4,-y+1/2,z+3/4'
'x+1/2,y,z+1/2'
'-x+1/2,-y,-z+1/2'
'-x+3/4,-y+1/4,z+1/2'
'x+3/4,y+1/4,-z+1/2'
'x+1/2,-y+1/4,-z+3/4'
'-x+1/2,y+1/4,z+3/4'
'-x+3/4,y,-z+3/4'
'x+3/4,-y,z+3/4'
'x+1/2,y+1/2,z'
'-x+1/2,-y+1/2,-z'
'-x+3/4,-y+3/4,z'
'x+3/4,y+3/4,-z'
'x+1/2,-y+3/4,-z+1/4'
'-x+1/2,y+3/4,z+1/4'
'-x+3/4,y+1/2,-z+1/4'
'x+3/4,-y+1/2,z+1/4'
loop_
_atom_site_label
_atom_site_fract_x
_atom_site_fract_y
_atom_site_fract_z
Cs1 0.1250 0.1250 0.3062
Zr1 0.1250 0.1250 0.1250
Au1 0.1250 0.1250 0.6250
O1 0.0893 0.2810 0.4186
```


The following is a computed X-ray powder pattern of Cs2P2Au3. It was derived from DFT lattice parameters and positions (GGA-PBE), using Cu Ka.

Main lines, by angle (10° ≤ 2θ ≤ 90°):
16.1°, 5.508 Å, I = 47, hkl 2 0 -1; 23.3°, 3.817 Å, I = 42, hkl 0 0 2; 23.8°, 3.737 Å, I = 23, hkl 1 1 1; 24.2°, 3.682 Å, I = 27, hkl 4 0 0; 26.7°, 3.333 Å, I = 100, hkl 3 1 0; 30.9°, 2.898 Å, I = 45, hkl 1 1 -2; 31.5°, 2.836 Å, I = 37, hkl 1 1 2; 32.5°, 2.754 Å, I = 44, hkl 4 0 -2; 35.1°, 2.558 Å, I = 33, hkl 4 0 2; 39.7°, 2.270 Å, I = 28, hkl 0 2 0; 47.6°, 1.909 Å, I = 22, hkl 0 0 4; 52.2°, 1.751 Å, I = 26, hkl 4 2 -2

Structural model:
```
data_Cs2P2Au3
_chemical_formula_sum 'Cs4 P4 Au6'
_symmetry_space_group_name_H-M 'C 1 2/m 1'
_symmetry_Int_Tables_number 12
_symmetry_space_group_name_Hall '-C 2y'
_cell_length_a 14.7668
_cell_length_b 4.5393
_cell_length_c 7.6586
_cell_angle_alpha 90.00
_cell_angle_beta 94.23
_cell_angle_gamma 90.00
loop_
_atom_site_label
_atom_site_fract_x
_atom_site_fract_y
_atom_site_fract_z
Cs1 0.1338 0.0000 0.2372
P1 0.1123 0.5000 0.7321
Au1 0.0000 0.5000 0.5000
Au2 0.1427 0.0000 0.7613
```


The following is a computed X-ray powder pattern of Cs2P2Au5. It was derived from DFT lattice parameters and positions (GGA-PBE), using Cu Ka.

Main lines, by angle (10° ≤ 2θ ≤ 90°):
15.5°, 5.704 Å, I = 53, hkl 0 1 1; 27.4°, 3.259 Å, I = 80, hkl 1 -1 0; 27.6°, 3.228 Å, I = 89, hkl 1 1 2; 27.8°, 3.209 Å, I = 44, hkl 1 2 0; 28.4°, 3.146 Å, I = 47, hkl 1 0 -2; 29.6°, 3.015 Å, I = 37, hkl 1 -1 1; 30.4°, 2.937 Å, I = 54, hkl 1 2 -1; 31.4°, 2.852 Å, I = 100, hkl 0 2 2; 33.9°, 2.644 Å, I = 77, hkl 0 1 -3; 39.0°, 2.309 Å, I = 43, hkl 2 1 0; 42.1°, 2.145 Å, I = 47, hkl 0 3 -1; 50.7°, 1.801 Å, I = 42, hkl 2 3 2

Structural model:
```
data_Cs2P2Au5
_chemical_formula_sum 'Cs2 P2 Au5'
_symmetry_space_group_name_H-M 'P -1'
_symmetry_Int_Tables_number 2
_symmetry_space_group_name_Hall '-P 1'
_cell_length_a 4.6212
_cell_length_b 7.1820
_cell_length_c 9.0394
_cell_angle_alpha 83.95
_cell_angle_beta 88.30
_cell_angle_gamma 71.94
loop_
_atom_site_label
_atom_site_fract_x
_atom_site_fract_y
_atom_site_fract_z
Cs1 0.1384 0.2494 0.2973
P1 0.4461 0.7766 0.1323
Au1 0.0977 0.1364 0.8941
Au2 0.4470 0.6273 0.3792
Au3 0.5000 0.5000 0.0000
```


The following is a computed X-ray powder pattern of CsP12Au4. It was derived from DFT lattice parameters and positions (GGA-PBE), using Cu Ka.

Main lines, by angle (10° ≤ 2θ ≤ 90°):
20.4°, 4.359 Å, I = 68, hkl 0 2 1; 27.9°, 3.201 Å, I = 100, hkl 2 0 2; 30.0°, 2.976 Å, I = 76, hkl 2 2 0; 31.7°, 2.819 Å, I = 12, hkl 3 -2 2; 36.6°, 2.458 Å, I = 25, hkl 4 0 1; 41.4°, 2.179 Å, I = 26, hkl 0 4 2; 45.1°, 2.009 Å, I = 38, hkl 4 -2 3; 48.0°, 1.896 Å, I = 53, hkl 0 2 4; 52.0°, 1.758 Å, I = 37, hkl 4 2 2; 53.3°, 1.718 Å, I = 17, hkl 6 0 0; 66.3°, 1.409 Å, I = 24, hkl 6 -4 4; 69.7°, 1.349 Å, I = 15, hkl 8 -6 2

Structural model:
```
data_CsP12Au4
_chemical_formula_sum 'Cs3 P36 Au12'
_symmetry_space_group_name_H-M 'R -3'
_symmetry_Int_Tables_number 148
_symmetry_space_group_name_Hall '-R 3'
_cell_length_a 11.9028
_cell_length_b 11.9028
_cell_length_c 8.1669
_cell_angle_alpha 90.00
_cell_angle_beta 90.00
_cell_angle_gamma 120.00
loop_
_atom_site_label
_atom_site_fract_x
_atom_site_fract_y
_atom_site_fract_z
Cs1 0.0000 0.0000 0.0000
P1 0.0325 0.8309 0.3344
P2 0.0452 0.4562 0.8463
Au1 0.0000 0.0000 0.5000
Au2 0.0000 0.5000 0.5000
```


The following is a computed X-ray powder pattern of Cs2P2Au. It was derived from DFT lattice parameters and positions (GGA-PBE), using Cu Ka.

Main lines, by angle (10° ≤ 2θ ≤ 90°):
14.0°, 6.340 Å, I = 17, hkl 1 1 0; 22.9°, 3.886 Å, I = 18, hkl 1 1 1; 26.9°, 3.313 Å, I = 100, hkl 2 0 1; 28.1°, 3.170 Å, I = 37, hkl 2 2 0; 28.7°, 3.108 Å, I = 17, hkl 2 1 1; 31.6°, 2.835 Å, I = 17, hkl 3 1 0; 36.6°, 2.458 Å, I = 24, hkl 0 0 2; 41.5°, 2.175 Å, I = 8, hkl 4 1 0; 46.8°, 1.942 Å, I = 29, hkl 2 2 2; 49.1°, 1.857 Å, I = 28, hkl 4 2 1; 55.5°, 1.656 Å, I = 18, hkl 4 0 2; 60.1°, 1.539 Å, I = 17, hkl 2 0 3

Structural model:
```
data_Cs2P2Au
_chemical_formula_sum 'Cs4 P4 Au2'
_symmetry_space_group_name_H-M 'P 4/m b m'
_symmetry_Int_Tables_number 127
_symmetry_space_group_name_Hall '-P 4 2ab'
_cell_length_a 8.9664
_cell_length_b 8.9664
_cell_length_c 4.9171
_cell_angle_alpha 90.00
_cell_angle_beta 90.00
_cell_angle_gamma 90.00
loop_
_atom_site_label
_atom_site_fract_x
_atom_site_fract_y
_atom_site_fract_z
Cs1 0.2103 0.2897 0.0000
P1 0.0786 0.5786 0.5000
Au1 0.0000 0.0000 0.5000
```


The following is a computed X-ray powder pattern of CsPaAu2S4. It was derived from DFT lattice parameters and positions (GGA-PBE), using Cu Ka.

Main lines, by angle (10° ≤ 2θ ≤ 90°):
13.6°, 6.523 Å, I = 100, hkl 0 1 1; 20.1°, 4.419 Å, I = 77, hkl 0 2 0; 25.6°, 3.474 Å, I = 96, hkl 1 1 2; 29.5°, 3.028 Å, I = 44, hkl 2 0 0; 31.4°, 2.845 Å, I = 23, hkl 1 0 3; 32.6°, 2.747 Å, I = 19, hkl 2 1 1; 35.9°, 2.498 Å, I = 54, hkl 2 2 0; 37.6°, 2.392 Å, I = 36, hkl 1 2 3; 38.8°, 2.323 Å, I = 35, hkl 1 3 2; 41.5°, 2.176 Å, I = 48, hkl 1 1 4; 51.2°, 1.785 Å, I = 45, hkl 2 4 0; 69.4°, 1.354 Å, I = 22, hkl 2 2 6

Structural model:
```
data_CsPaAu2S4
_chemical_formula_sum 'Cs2 Pa2 Au4 S8'
_symmetry_space_group_name_H-M 'I 2 2 2'
_symmetry_Int_Tables_number 23
_symmetry_space_group_name_Hall 'I 2 2'
_cell_length_a 6.0579
_cell_length_b 8.8377
_cell_length_c 9.6666
_cell_angle_alpha 90.00
_cell_angle_beta 90.00
_cell_angle_gamma 90.00
loop_
_atom_site_label
_atom_site_fract_x
_atom_site_fract_y
_atom_site_fract_z
Cs1 0.0000 0.0000 0.0000
Pa1 0.0000 0.0000 0.5000
Au1 0.0000 0.5000 0.1543
S1 0.2087 0.1729 0.3312
```


The following is a computed X-ray powder pattern of CsPa2Te6Au2. It was derived from DFT lattice parameters and positions (GGA-PBE), using Cu Ka.

Main lines, by angle (10° ≤ 2θ ≤ 90°):
12.7°, 6.945 Å, I = 55, hkl 0 1 0; 13.0°, 6.807 Å, I = 30, hkl 1 0 0; 13.3°, 6.669 Å, I = 23, hkl 1 1 1; 24.4°, 3.645 Å, I = 22, hkl 1 2 0; 24.6°, 3.615 Å, I = 33, hkl -1 1 1; 25.3°, 3.524 Å, I = 100, hkl 2 1 2; 32.3°, 2.772 Å, I = 38, hkl 1 2 -1; 32.8°, 2.734 Å, I = 51, hkl -1 1 2; 37.1°, 2.423 Å, I = 25, hkl 0 3 1; 43.0°, 2.103 Å, I = 30, hkl 1 -1 3; 43.9°, 2.064 Å, I = 21, hkl 1 2 4; 45.5°, 1.992 Å, I = 21, hkl 1 -3 0

Structural model:
```
data_CsPa2Te6Au2
_chemical_formula_sum 'Cs1 Pa2 Te6 Au2'
_symmetry_space_group_name_H-M 'P -1'
_symmetry_Int_Tables_number 2
_symmetry_space_group_name_Hall '-P 1'
_cell_length_a 8.1534
_cell_length_b 8.2917
_cell_length_c 8.5464
_cell_angle_alpha 63.21
_cell_angle_beta 62.85
_cell_angle_gamma 61.29
loop_
_atom_site_label
_atom_site_fract_x
_atom_site_fract_y
_atom_site_fract_z
Cs1 0.0000 0.0000 0.0000
Pa1 0.3458 0.3316 0.9845
Te1 0.0645 0.4926 0.7610
Te2 0.3372 0.9331 0.2511
Te3 0.4637 0.6919 0.7602
Au1 0.3105 0.5778 0.4153
```


The following is a computed X-ray powder pattern of CsPb4Au9. It was derived from DFT lattice parameters and positions (GGA-PBE), using Cu Ka.

Main lines, by angle (10° ≤ 2θ ≤ 90°):
12.5°, 7.100 Å, I = 47, hkl 1 1 0; 28.3°, 3.153 Å, I = 29, hkl 2 2 2; 31.0°, 2.881 Å, I = 71, hkl 3 1 2; 31.6°, 2.832 Å, I = 67, hkl 2 0 4; 36.4°, 2.467 Å, I = 30, hkl 2 2 4; 37.5°, 2.398 Å, I = 77, hkl 4 1 1; 37.8°, 2.378 Å, I = 100, hkl 3 2 3; 38.0°, 2.367 Å, I = 40, hkl 3 3 0; 38.2°, 2.357 Å, I = 36, hkl 4 0 2; 38.4°, 2.341 Å, I = 51, hkl 2 1 5; 38.6°, 2.330 Å, I = 28, hkl 3 1 4; 59.5°, 1.553 Å, I = 30, hkl 6 1 3

Structural model:
```
data_CsPb4Au9
_chemical_formula_sum 'Cs4 Pb16 Au36'
_symmetry_space_group_name_H-M 'I 4/m c m'
_symmetry_Int_Tables_number 140
_symmetry_space_group_name_Hall '-I 4 2c'
_cell_length_a 10.0404
_cell_length_b 10.0404
_cell_length_c 13.7193
_cell_angle_alpha 90.00
_cell_angle_beta 90.00
_cell_angle_gamma 90.00
loop_
_atom_site_label
_atom_site_fract_x
_atom_site_fract_y
_atom_site_fract_z
Cs1 0.0000 0.0000 0.2500
Pb1 0.1969 0.3031 0.1246
Au1 0.0000 0.5000 0.0000
Au2 0.0268 0.1996 0.5000
Au3 0.1064 0.3936 0.3237
```


The following is a computed X-ray powder pattern of Cs2PbAu. It was derived from DFT lattice parameters and positions (GGA-PBE), using Cu Ka.

Main lines, by angle (10° ≤ 2θ ≤ 90°):
14.6°, 6.073 Å, I = 50, hkl 1 1 0; 15.9°, 5.590 Å, I = 13, hkl 2 0 0; 21.6°, 4.108 Å, I = 15, hkl 1 1 -1; 24.6°, 3.617 Å, I = 16, hkl 0 2 0; 26.9°, 3.312 Å, I = 100, hkl 3 1 0; 31.6°, 2.833 Å, I = 49, hkl 2 2 -1; 36.0°, 2.496 Å, I = 18, hkl 2 0 -2; 44.8°, 2.024 Å, I = 34, hkl 1 3 1; 45.4°, 1.997 Å, I = 14, hkl 1 1 2; 45.6°, 1.990 Å, I = 14, hkl 5 1 -2; 51.3°, 1.780 Å, I = 11, hkl 4 2 1; 51.5°, 1.775 Å, I = 11, hkl 6 2 -1

Structural model:
```
data_Cs2PbAu
_chemical_formula_sum 'Cs4 Pb2 Au2'
_symmetry_space_group_name_H-M 'C 1 2 1'
_symmetry_Int_Tables_number 5
_symmetry_space_group_name_Hall 'C 2y'
_cell_length_a 12.2236
_cell_length_b 7.2337
_cell_length_c 4.9918
_cell_angle_alpha 90.00
_cell_angle_beta 113.84
_cell_angle_gamma 90.00
loop_
_atom_site_label
_atom_site_fract_x
_atom_site_fract_y
_atom_site_fract_z
Cs1 0.1884 0.0000 0.1902
Pb1 0.0000 0.5038 0.0000
Au1 0.0000 0.6802 0.5000
```


The following is a computed X-ray powder pattern of CsPbAu10. It was derived from DFT lattice parameters and positions (GGA-PBE), using Cu Ka.

Main lines, by angle (10° ≤ 2θ ≤ 90°):
17.4°, 5.110 Å, I = 25, hkl 0 1 1; 35.1°, 2.555 Å, I = 29, hkl 0 2 2; 36.1°, 2.489 Å, I = 51, hkl 1 2 0; 36.6°, 2.458 Å, I = 100, hkl 1 1 3; 39.4°, 2.284 Å, I = 47, hkl 2 0 0; 40.5°, 2.230 Å, I = 52, hkl 1 2 2; 41.0°, 2.200 Å, I = 21, hkl 1 0 4; 53.8°, 1.703 Å, I = 21, hkl 2 2 2; 57.8°, 1.596 Å, I = 25, hkl 1 3 3; 63.8°, 1.458 Å, I = 21, hkl 0 2 6; 69.7°, 1.350 Å, I = 18, hkl 3 1 3; 77.7°, 1.229 Å, I = 23, hkl 2 2 6

Structural model:
```
data_CsPbAu10
_chemical_formula_sum 'Cs1 Pb1 Au10'
_symmetry_space_group_name_H-M 'P m m m'
_symmetry_Int_Tables_number 47
_symmetry_space_group_name_Hall '-P 2 2'
_cell_length_a 4.5687
_cell_length_b 5.9358
_cell_length_c 10.0431
_cell_angle_alpha 90.00
_cell_angle_beta 90.00
_cell_angle_gamma 90.00
loop_
_atom_site_label
_atom_site_fract_x
_atom_site_fract_y
_atom_site_fract_z
Cs1 0.0000 0.0000 0.0000
Pb1 0.0000 0.5000 0.5000
Au1 0.0000 0.0000 0.3398
Au2 0.0000 0.5000 0.1779
Au3 0.5000 0.0000 0.5000
Au4 0.5000 0.2596 0.2640
Au5 0.5000 0.5000 0.0000
```


The following is a computed X-ray powder pattern of Cs3Pb4Au. It was derived from DFT lattice parameters and positions (GGA-PBE), using Cu Ka.

Main lines, by angle (10° ≤ 2θ ≤ 90°):
12.4°, 7.137 Å, I = 88, hkl 0 2 0; 13.5°, 6.568 Å, I = 100, hkl 1 1 0; 24.1°, 3.699 Å, I = 27, hkl 2 0 0; 27.2°, 3.275 Å, I = 55, hkl 2 0 1; 30.0°, 2.975 Å, I = 88, hkl 2 2 1; 30.6°, 2.923 Å, I = 80, hkl 1 4 1; 33.2°, 2.697 Å, I = 33, hkl 2 3 1; 35.2°, 2.548 Å, I = 32, hkl 2 0 2; 40.9°, 2.208 Å, I = 29, hkl 1 1 3; 42.0°, 2.152 Å, I = 27, hkl 2 5 1; 46.6°, 1.949 Å, I = 29, hkl 3 4 1; 52.9°, 1.731 Å, I = 27, hkl 2 4 3

Structural model:
```
data_Cs3Pb4Au
_chemical_formula_sum 'Cs6 Pb8 Au2'
_symmetry_space_group_name_H-M 'P m m n'
_symmetry_Int_Tables_number 59
_cell_length_a 7.3974
_cell_length_b 14.2745
_cell_length_c 7.0316
_cell_angle_alpha 90.00
_cell_angle_beta 90.00
_cell_angle_gamma 90.00
loop_
_symmetry_equiv_pos_as_xyz
'x,y,z'
'-x,-y,-z'
'-x+1/2,-y+1/2,z'
'x+1/2,y+1/2,-z'
'x+1/2,-y,-z'
'-x+1/2,y,z'
'-x,y+1/2,-z'
'x,-y+1/2,z'
loop_
_atom_site_label
_atom_site_fract_x
_atom_site_fract_y
_atom_site_fract_z
Cs1 0.2500 0.9998 0.1784
Cs2 0.2500 0.2500 0.5484
Pb1 0.0243 0.7500 0.9643
Pb2 0.2500 0.6356 0.6698
Au1 0.2500 0.7500 0.3155
```